[1]
The following is a simulated powder XRD pattern of NaZr2Br8. It was derived from a DFT-relaxed cell (PBE, Alexandria), using Cu Kα X-rays.

Structural model:
Unit cell a=9.2544 b=9.2544 c=5.4414 alpha=90.00 beta=90.00 gamma=120.00
Space group P-3 (No. 147)
Asymmetric unit:
Na: 0.0000 0.0000 0.0000 (multiplicity 1)
Zr: 0.3333 0.6667 0.2401 (multiplicity 2)
Br: 0.1733 0.3485 0.2540 (multiplicity 6)
Br: 0.3333 0.6667 0.7467 (multiplicity 2)

Peak list (12 most intense, 2θ from 10° to 90°, in order of rising 2θ)
| 2theta | d [Å] | I_rel |
| --- | --- | --- |
| 11.04 | 8.015 | 24 |
| 19.18 | 4.627 | 35 |
| 19.72 | 4.502 | 45 |
| 22.18 | 4.007 | 83 |
| 27.65 | 3.227 | 100 |
| 32.92 | 2.721 | 43 |
| 38.93 | 2.314 | 87 |
| 40.06 | 2.251 | 44 |
| 48.41 | 1.880 | 19 |
| 51.88 | 1.763 | 66 |
| 80.02 | 1.199 | 17 |
| 82.21 | 1.173 | 19 |

[2]
The following is a simulated powder XRD pattern of NaZr2Br8. It was derived from a DFT-relaxed cell (PBE, Alexandria), using Cu Kα X-rays.

Structural model:
Unit cell a=12.7296 b=11.2339 c=7.0792 alpha=90.00 beta=91.35 gamma=90.00
Space group C2/m (No. 12)
Asymmetric unit:
Na: 0.0000 0.0000 0.0000 (multiplicity 2)
Zr: 0.2180 0.0000 0.6227 (multiplicity 4)
Br: 0.0971 0.5000 0.2516 (multiplicity 4)
Br: 0.1179 0.1756 0.7587 (multiplicity 8)
Br: 0.1977 0.0000 0.2653 (multiplicity 4)

Peak list (12 most intense, 2θ from 10° to 90°, in order of rising 2θ)
| 2theta | d [Å] | I_rel |
| --- | --- | --- |
| 15.78 | 5.617 | 55 |
| 18.97 | 4.677 | 24 |
| 21.10 | 4.211 | 26 |
| 22.40 | 3.969 | 28 |
| 24.43 | 3.644 | 100 |
| 24.78 | 3.593 | 39 |
| 25.17 | 3.539 | 58 |
| 25.98 | 3.429 | 37 |
| 35.49 | 2.529 | 33 |
| 42.96 | 2.105 | 48 |
| 43.69 | 2.072 | 25 |
| 45.13 | 2.009 | 25 |

[3]
The following is a simulated powder XRD pattern of Na2Zr3Br9. It was derived from a DFT-relaxed cell (PBE, Alexandria), using Cu Kα X-rays.

Structural model:
Unit cell a=10.3737 b=17.6898 c=10.2935 alpha=90.00 beta=112.87 gamma=90.00
Space group C2/m (No. 12)
Asymmetric unit:
Na: 0.1220 0.1598 0.3624 (multiplicity 8)
Zr: 0.1392 0.4056 0.1496 (multiplicity 8)
Zr: 0.1471 0.5000 0.8694 (multiplicity 4)
Br: 0.0000 0.2855 0.0000 (multiplicity 4)
Br: 0.0036 0.3932 0.6825 (multiplicity 8)
Br: 0.1751 0.1075 0.9738 (multiplicity 8)
Br: 0.1787 0.0000 0.6605 (multiplicity 4)
Br: 0.1827 0.0000 0.2870 (multiplicity 4)
Br: 0.1882 0.2066 0.6598 (multiplicity 8)

Peak list (12 most intense, 2θ from 10° to 90°, in order of rising 2θ)
| 2theta | d [Å] | I_rel |
| --- | --- | --- |
| 10.00 | 8.845 | 46 |
| 10.52 | 8.409 | 59 |
| 11.43 | 7.742 | 37 |
| 28.23 | 3.161 | 34 |
| 29.70 | 3.008 | 29 |
| 31.39 | 2.850 | 53 |
| 31.58 | 2.833 | 80 |
| 35.04 | 2.561 | 100 |
| 37.30 | 2.411 | 28 |
| 48.04 | 1.894 | 33 |
| 48.80 | 1.866 | 43 |
| 51.04 | 1.790 | 34 |

[4]
The following is a simulated powder XRD pattern of Nb3Br8. It was derived from a DFT-relaxed cell (PBE, Alexandria), using Cu Kα X-rays.

Structural model:
Unit cell a=7.1645 b=7.1645 c=41.4845 alpha=90.00 beta=90.00 gamma=120.00
Space group R-3m (No. 166, hexagonal axes)
Asymmetric unit:
Nb: 0.0639 0.5319 0.0829 (multiplicity 18)
Br: 0.0000 0.0000 0.2165 (multiplicity 6)
Br: 0.0000 0.0000 0.3683 (multiplicity 6)
Br: 0.0036 0.5018 0.2079 (multiplicity 18)
Br: 0.0040 0.5020 0.6185 (multiplicity 18)

Peak list (12 most intense, 2θ from 10° to 90°, in order of rising 2θ)
| 2theta | d [Å] | I_rel |
| --- | --- | --- |
| 12.80 | 6.914 | 75 |
| 14.43 | 6.136 | 22 |
| 25.77 | 3.457 | 12 |
| 30.07 | 2.972 | 18 |
| 30.77 | 2.906 | 28 |
| 32.58 | 2.749 | 100 |
| 36.15 | 2.485 | 29 |
| 40.56 | 2.224 | 19 |
| 44.34 | 2.043 | 14 |
| 47.40 | 1.918 | 35 |
| 50.99 | 1.791 | 36 |
| 57.99 | 1.590 | 14 |

[5]
The following is a simulated powder XRD pattern of Nb2Br5. It was derived from a DFT-relaxed cell (PBE, Alexandria), using Cu Kα X-rays.

Structural model:
Unit cell a=10.6982 b=14.4159 c=6.0394 alpha=90.00 beta=90.00 gamma=90.00
Space group Cmcm (No. 63)
Asymmetric unit:
Nb: 0.1337 0.0000 0.0000 (multiplicity 8)
Br: 0.0000 0.1202 0.2500 (multiplicity 4)
Br: 0.1768 0.1484 0.7500 (multiplicity 8)
Br: 0.1843 0.4270 0.7500 (multiplicity 8)

Peak list (12 most intense, 2θ from 10° to 90°, in order of rising 2θ)
| 2theta | d [Å] | I_rel |
| --- | --- | --- |
| 10.30 | 8.591 | 100 |
| 12.28 | 7.208 | 72 |
| 16.57 | 5.349 | 13 |
| 28.85 | 3.095 | 20 |
| 29.75 | 3.003 | 36 |
| 33.46 | 2.678 | 12 |
| 34.67 | 2.588 | 27 |
| 36.12 | 2.487 | 23 |
| 38.91 | 2.315 | 31 |
| 39.60 | 2.276 | 17 |
| 43.56 | 2.078 | 16 |
| 51.23 | 1.783 | 16 |

[6]
The following is a simulated powder XRD pattern of NbBr6. It was derived from a DFT-relaxed cell (PBE, Alexandria), using Cu Kα X-rays.

Structural model:
Unit cell a=11.2652 b=11.9796 c=8.4158 alpha=90.00 beta=90.00 gamma=90.00
Space group Pnma (No. 62)
Asymmetric unit:
Nb: 0.1324 0.2500 0.0448 (multiplicity 4)
Br: 0.0101 0.1060 0.2099 (multiplicity 8)
Br: 0.0140 0.7500 0.1702 (multiplicity 4)
Br: 0.2412 0.5967 0.4460 (multiplicity 8)
Br: 0.2434 0.7500 0.8149 (multiplicity 4)

Peak list (12 most intense, 2θ from 10° to 90°, in order of rising 2θ)
| 2theta | d [Å] | I_rel |
| --- | --- | --- |
| 12.86 | 6.886 | 29 |
| 13.13 | 6.742 | 53 |
| 14.79 | 5.990 | 30 |
| 15.08 | 5.876 | 64 |
| 19.83 | 4.478 | 21 |
| 26.44 | 3.371 | 39 |
| 29.40 | 3.038 | 100 |
| 31.77 | 2.816 | 25 |
| 31.93 | 2.803 | 25 |
| 34.47 | 2.602 | 27 |
| 39.26 | 2.295 | 27 |
| 47.57 | 1.912 | 20 |

[7]
The following is a simulated powder XRD pattern of Nb2Br13. It was derived from a DFT-relaxed cell (PBE, Alexandria), using Cu Kα X-rays.

Structural model:
Unit cell a=7.0184 b=7.8442 c=11.2024 alpha=105.07 beta=94.50 gamma=106.60
Space group P-1 (No. 2)
Asymmetric unit:
Nb: 0.2443 0.3801 0.2214 (multiplicity 2)
Br: 0.0309 0.2706 0.0196 (multiplicity 2)
Br: 0.0489 0.1267 0.3140 (multiplicity 2)
Br: 0.0578 0.5772 0.3389 (multiplicity 2)
Br: 0.3846 0.0601 0.4554 (multiplicity 2)
Br: 0.4795 0.1971 0.1703 (multiplicity 2)
Br: 0.4981 0.6580 0.2003 (multiplicity 2)
Br: 0.5000 0.5000 0.5000 (multiplicity 1)

Peak list (12 most intense, 2θ from 10° to 90°, in order of rising 2θ)
| 2theta | d [Å] | I_rel |
| --- | --- | --- |
| 14.51 | 6.103 | 76 |
| 16.82 | 5.270 | 44 |
| 17.54 | 5.057 | 20 |
| 26.38 | 3.379 | 100 |
| 26.88 | 3.317 | 44 |
| 28.48 | 3.134 | 55 |
| 30.41 | 2.939 | 74 |
| 31.23 | 2.864 | 82 |
| 32.27 | 2.774 | 53 |
| 44.54 | 2.034 | 18 |
| 45.86 | 1.979 | 23 |
| 46.04 | 1.972 | 26 |

[8]
The following is a simulated powder XRD pattern of NpNbBrO4. It was derived from a DFT-relaxed cell (PBE, Alexandria), using Cu Kα X-rays.

Structural model:
Unit cell a=10.8501 b=7.2919 c=6.9653 alpha=90.00 beta=109.48 gamma=90.00
Space group C2/m (No. 12)
Asymmetric unit:
Np: 0.2350 0.0000 0.1418 (multiplicity 4)
Nb: 0.1279 0.5000 0.2430 (multiplicity 4)
Br: 0.0038 0.0000 0.7525 (multiplicity 4)
O: 0.0568 0.5000 0.8490 (multiplicity 4)
O: 0.1807 0.5000 0.5261 (multiplicity 4)
O: 0.2121 0.2983 0.1656 (multiplicity 8)

Peak list (12 most intense, 2θ from 10° to 90°, in order of rising 2θ)
| 2theta | d [Å] | I_rel |
| --- | --- | --- |
| 13.48 | 6.567 | 58 |
| 17.34 | 5.115 | 39 |
| 18.10 | 4.901 | 29 |
| 24.41 | 3.646 | 100 |
| 25.39 | 3.508 | 37 |
| 27.16 | 3.283 | 24 |
| 27.97 | 3.190 | 77 |
| 28.40 | 3.142 | 28 |
| 33.28 | 2.692 | 55 |
| 33.65 | 2.663 | 27 |
| 43.52 | 2.079 | 24 |
| 56.91 | 1.618 | 31 |

[9]
The following is a simulated powder XRD pattern of Nb3Br7O. It was derived from a DFT-relaxed cell (PBE, Alexandria), using Cu Kα X-rays.

Structural model:
Unit cell a=7.1000 b=7.1000 c=6.9919 alpha=90.00 beta=90.00 gamma=120.00
Space group P3m1 (No. 156)
Asymmetric unit:
Nb: 0.0719 0.5360 0.0000 (multiplicity 3)
Br: 0.1642 0.3283 0.2482 (multiplicity 3)
Br: 0.3277 0.1639 0.7871 (multiplicity 3)
Br: 0.6667 0.3333 0.1923 (multiplicity 1)
O: 0.3333 0.6667 0.8083 (multiplicity 1)

Peak list (12 most intense, 2θ from 10° to 90°, in order of rising 2θ)
| 2theta | d [Å] | I_rel |
| --- | --- | --- |
| 12.66 | 6.992 | 81 |
| 19.22 | 4.617 | 22 |
| 29.39 | 3.039 | 17 |
| 31.80 | 2.814 | 100 |
| 38.75 | 2.324 | 9 |
| 39.01 | 2.309 | 56 |
| 40.92 | 2.205 | 15 |
| 49.05 | 1.857 | 31 |
| 51.48 | 1.775 | 23 |
| 58.30 | 1.583 | 10 |
| 61.79 | 1.501 | 12 |
| 84.53 | 1.146 | 11 |

[10]
The following is a simulated powder XRD pattern of Nb3Br7O. It was derived from a DFT-relaxed cell (PBE, Alexandria), using Cu Kα X-rays.

Structural model:
Unit cell a=12.2994 b=7.0988 c=9.2536 alpha=90.00 beta=131.45 gamma=90.00
Space group Cm (No. 8)
Asymmetric unit:
Nb: 0.0000 0.0000 0.0000 (multiplicity 2)
Nb: 0.3037 0.3040 0.9995 (multiplicity 4)
Br: 0.0106 0.2546 0.7853 (multiplicity 4)
Br: 0.0782 0.2540 0.2499 (multiplicity 4)
Br: 0.2643 0.0000 0.7843 (multiplicity 2)
Br: 0.2991 0.0000 0.1938 (multiplicity 2)
Br: 0.3243 0.5000 0.2495 (multiplicity 2)
O: 0.2730 0.5000 0.8063 (multiplicity 2)

Peak list (12 most intense, 2θ from 10° to 90°, in order of rising 2θ)
| 2theta | d [Å] | I_rel |
| --- | --- | --- |
| 12.76 | 6.936 | 100 |
| 15.76 | 5.623 | 15 |
| 24.08 | 3.696 | 18 |
| 31.80 | 2.814 | 53 |
| 31.86 | 2.808 | 79 |
| 39.10 | 2.304 | 29 |
| 39.20 | 2.298 | 44 |
| 49.27 | 1.849 | 26 |
| 49.40 | 1.845 | 13 |
| 51.48 | 1.775 | 29 |
| 61.81 | 1.501 | 13 |
| 84.56 | 1.146 | 13 |

[11]
The following is a simulated powder XRD pattern of Rb5NbBr2O4. It was derived from a DFT-relaxed cell (PBE, Alexandria), using Cu Kα X-rays.

Structural model:
Unit cell a=9.1029 b=10.9482 c=6.9534 alpha=90.00 beta=90.00 gamma=90.00
Space group Amm2 (No. 38)
Asymmetric unit:
Rb: 0.0000 0.0000 0.0000 (multiplicity 2)
Rb: 0.3026 0.1800 0.3669 (multiplicity 8)
Nb: 0.5000 0.0000 0.8872 (multiplicity 2)
Br: 0.0000 0.1916 0.6311 (multiplicity 4)
O: 0.3340 0.0000 0.0514 (multiplicity 4)
O: 0.5000 0.1409 0.7282 (multiplicity 4)

Peak list (12 most intense, 2θ from 10° to 90°, in order of rising 2θ)
| 2theta | d [Å] | I_rel |
| --- | --- | --- |
| 24.75 | 3.597 | 71 |
| 25.45 | 3.500 | 18 |
| 27.46 | 3.248 | 45 |
| 27.60 | 3.231 | 100 |
| 29.33 | 3.045 | 27 |
| 29.44 | 3.034 | 28 |
| 32.40 | 2.763 | 26 |
| 34.03 | 2.635 | 29 |
| 36.43 | 2.467 | 53 |
| 40.79 | 2.212 | 25 |
| 47.92 | 1.898 | 21 |
| 57.11 | 1.613 | 15 |

[12]
The following is a simulated powder XRD pattern of TbNbBrO4. It was derived from a DFT-relaxed cell (PBE, Alexandria), using Cu Kα X-rays.

Structural model:
Unit cell a=12.4955 b=6.4734 c=7.0102 alpha=90.00 beta=104.65 gamma=90.00
Space group C2/m (No. 12)
Asymmetric unit:
Tb: 0.2087 0.0000 0.3449 (multiplicity 4)
Nb: 0.1262 0.0000 0.7548 (multiplicity 4)
Br: 0.0145 0.5000 0.1688 (multiplicity 4)
O: 0.0264 0.0000 0.2914 (multiplicity 4)
O: 0.1812 0.2187 0.6227 (multiplicity 8)
O: 0.1904 0.0000 0.0227 (multiplicity 4)

Peak list (12 most intense, 2θ from 10° to 90°, in order of rising 2θ)
| 2theta | d [Å] | I_rel |
| --- | --- | --- |
| 21.51 | 4.131 | 28 |
| 22.03 | 4.034 | 23 |
| 26.05 | 3.421 | 100 |
| 26.28 | 3.391 | 26 |
| 26.54 | 3.358 | 36 |
| 27.56 | 3.237 | 70 |
| 28.98 | 3.081 | 39 |
| 31.72 | 2.821 | 26 |
| 32.96 | 2.718 | 29 |
| 41.15 | 2.193 | 23 |
| 52.26 | 1.750 | 36 |
| 54.73 | 1.677 | 19 |